Computed XRD peak list of Ho2Tm5Th for λ = 1.5418 Å (Cu Kα), from a GGA-PBE-relaxed structure.

Top 10 peaks for 5° ≤ 2θ ≤ 70°, in order of falling intensity:
| 2θ/deg | intensity | hkl |
| --- | --- | --- |
| 33.10 | 100 | 0 2 4 |
| 31.85 | 25 | 0 4 0 |
| 28.91 | 24 | 2 0 2 |
| 61.61 | 23 | 4 4 0 |
| 57.55 | 21 | 0 6 4 |
| 51.24 | 20 | 4 0 0 |
| 62.37 | 16 | 4 2 4 |
| 43.55 | 16 | 2 4 2 |
| 69.46 | 4 | 0 4 8 |
| 59.90 | 3 | 0 0 8 |

Atomic structure:
Cell: 7.1272 11.2387 12.3597 Å, 90.00 90.00 90.00°
Space group Fmm2 (No. 42)
Symmetry-distinct sites (fractional):
Ho: 0.0000 0.2495 0.0000 (multiplicity 8)
Tm: 0.0000 0.0000 0.3347 (multiplicity 4)
Tm: 0.2493 0.0000 0.0853 (multiplicity 8)
Tm: 0.2500 0.2500 0.2524 (multiplicity 8)
Th: 0.0000 0.0000 0.8365 (multiplicity 4)